1.
# V2Pd5Pt4
Calculated X-ray powder pattern, Cu Kα (λ = 1.5418 Å). Input: DFT lattice parameters and positions (GGA-PBE).
Intensities are scaled so that the largest is 100.

Unit cell a=6.9371 b=2.7342 c=8.9341 alpha=90.00 beta=93.95 gamma=90.00
Atoms (fractional coordinates):
V1 0.0724 0.0000 0.1405
V2 0.9276 0.0000 0.8595
Pd1 0.1749 0.0000 0.6561
Pd2 0.4469 0.0000 0.1899
Pd3 0.5000 0.0000 0.5000
Pd4 0.5531 0.0000 0.8101
Pd5 0.8251 0.0000 0.3439
Pt1 0.1808 0.5000 0.3756
Pt2 0.2462 0.5000 0.9368
Pt3 0.7538 0.5000 0.0632
Pt4 0.8192 0.5000 0.6244

Top 6 peaks for 10 to 90 degrees two-theta, low angle first:
2theta, intensity
39.05, 29
40.40, 71
41.35, 100
41.72, 40
42.12, 50
46.17, 30



2.
# V2Pd2Pt5
Calculated X-ray powder pattern, Cu Kα (λ = 1.5418 Å). Input: DFT lattice parameters and positions (GGA-PBE).
Intensities are scaled so that the largest is 100.

Unit cell a=4.5138 b=4.6254 c=7.3951 alpha=97.64 beta=97.28 gamma=108.97
Atoms (fractional coordinates):
V1 0.0915 0.0940 0.3533
V2 0.9085 0.9060 0.6467
Pd1 0.1629 0.5211 0.8305
Pd2 0.8371 0.4789 0.1695
Pt1 0.0000 0.0000 0.0000
Pt2 0.3077 0.6845 0.4941
Pt3 0.4818 0.8585 0.1772
Pt4 0.5182 0.1415 0.8228
Pt5 0.6923 0.3155 0.5059

Top 6 peaks for 10 to 90 degrees two-theta, low angle first:
2theta, intensity
26.03, 49
38.01, 84
39.55, 51
39.93, 43
40.75, 70
44.92, 100